The following is a computed X-ray powder pattern of MnV2P3O12. It was derived from a GGA+U-relaxed structure, using copper Kα.
Intensities are scaled so that the largest is 100.

Most intense lines, 5 to 70 degrees two-theta, low angle first:
2θ 20.6, I = 74; 2θ 24.2, I = 100; 2θ 32.8, I = 69; 2θ 36.0, I = 32; 2θ 47.0, I = 27; 2θ 49.5, I = 25; 2θ 56.4, I = 34; 2θ 62.7, I = 21

Crystal structure
```
MnV2P3O12
1.0
4.3188 2.4935 7.0547
-4.3188 2.4935 7.0547
0.0000 -4.9869 7.0547
Mn V P O
2 4 6 24
Cartesian
0.0000 0.0000 0.0000
0.0000 0.0000 10.5821
0.0000 0.0000 3.0439
0.0000 0.0000 7.5382
0.0000 0.0000 13.6260
0.0000 0.0000 18.1203
-3.0604 -0.3138 8.8184
-1.2584 -2.8073 12.3458
1.8020 -2.4935 8.8184
-1.8020 2.4935 12.3458
1.2584 2.8073 8.8184
3.0604 0.3138 12.3458
-3.4667 -1.0582 10.0944
-3.6933 1.1089 8.7309
-2.8070 -2.6441 12.4333
-0.8169 -1.4555 6.5670
-0.8169 -3.5314 11.0698
-1.5117 -0.1506 8.9060
0.8863 -3.7530 8.7309
-0.8521 1.4352 6.5670
-2.6498 2.4731 11.0698
-0.6254 -1.3845 12.2583
0.8863 -1.2339 8.9060
-1.6690 -0.0203 14.5972
1.6690 0.0203 6.5670
-0.8863 1.2339 12.2583
0.6254 1.3845 8.9060
2.6498 -2.4731 10.0944
0.8521 -1.4352 14.5972
-0.8863 3.7530 12.4334
1.5117 0.1506 12.2583
0.8169 3.5314 10.0944
0.8169 1.4556 14.5972
2.8070 2.6441 8.7309
3.6934 -1.1089 12.4333
3.4667 1.0582 11.0698
```


The following is a computed X-ray powder pattern of Mn5VP6O24. It was derived from a GGA+U-relaxed structure, using copper Kα.
Intensities are scaled so that the largest is 100.

Most intense lines, 5 to 70 degrees two-theta, low angle first:
2θ 20.6, I = 85; 2θ 24.2, I = 100; 2θ 32.8, I = 72; 2θ 36.1, I = 36; 2θ 47.1, I = 30; 2θ 49.6, I = 27; 2θ 56.5, I = 22; 2θ 62.9, I = 19

Crystal structure
```
Mn5VP6O24
1.0
4.3061 2.4862 7.0623
-4.3061 2.4862 7.0623
0.0000 -4.9723 7.0623
Mn V P O
5 1 6 24
Cartesian
0.0000 0.0000 0.0000
0.0000 0.0000 3.0287
0.0000 0.0000 10.5798
0.0000 0.0000 13.6291
0.0000 0.0000 18.1345
0.0000 0.0000 7.5338
-3.0597 -0.3141 8.8140
-1.2534 -2.7939 12.3334
1.8019 -2.4927 8.8139
-1.7929 2.4824 12.3334
1.2578 2.8068 8.8140
3.0463 0.3115 12.3334
-3.4042 -1.0332 10.1134
-3.6774 1.1128 8.6980
-2.7990 -2.6700 12.4820
-0.8368 -1.4172 6.5520
-0.8123 -3.4632 11.0382
-1.4917 -0.1387 8.8758
0.8750 -3.7411 8.6979
-0.8089 1.4333 6.5520
-2.5930 2.4351 11.0382
-0.6129 -1.3732 12.2407
0.8660 -1.2225 8.8758
-1.6957 -0.0541 14.5780
1.6457 -0.0161 6.5520
-0.8828 1.2174 12.2407
0.6257 1.3612 8.8758
2.5969 -2.4315 10.1134
0.8947 -1.4415 14.5780
-0.9128 3.7591 12.4821
1.4957 0.1558 12.2407
0.8073 3.4647 10.1134
0.8010 1.4956 14.5780
2.8024 2.6283 8.6980
3.7118 -1.0890 12.4820
3.4053 1.0281 11.0382
```


The following is a computed X-ray powder pattern of MnVP2O8. It was derived from a GGA+U-relaxed structure, using copper Kα.
Intensities are scaled so that the largest is 100.

Most intense lines, 5 to 70 degrees two-theta, low angle first:
2θ 17.5, I = 86; 2θ 19.9, I = 83; 2θ 20.3, I = 57; 2θ 24.9, I = 72; 2θ 25.3, I = 37; 2θ 30.1, I = 100; 2θ 35.3, I = 66; 2θ 36.1, I = 59

Crystal structure
```
MnVP2O8
1.0
4.9127 0.0000 0.0000
0.0000 5.9385 0.0000
-0.2886 0.0000 10.1095
Mn V P O
2 2 4 16
Cartesian
0.1290 1.4846 2.2914
4.4951 4.4539 7.8181
2.0075 1.4846 7.2361
2.6166 4.4539 2.8734
0.5248 4.4539 1.0783
1.9369 4.4539 5.9215
2.6872 1.4846 4.1880
4.0992 1.4846 9.0311
0.4292 4.4539 9.6992
0.6886 1.4846 8.6564
1.1891 1.4846 4.0757
1.2896 3.2833 1.8223
1.2896 5.6244 1.8223
1.2652 3.2180 6.6770
1.2652 5.6897 6.6770
1.4561 4.4539 4.4475
3.1680 1.4846 5.6620
3.3589 0.2488 3.4325
3.3589 2.7205 3.4325
3.3345 0.3141 8.2872
3.3345 2.6551 8.2872
3.4350 4.4539 6.0338
3.9355 4.4539 1.4531
4.1948 1.4846 0.4103
```


The following is a computed X-ray powder pattern of MnVP2O8. It was derived from a GGA+U-relaxed structure, using copper Kα.
Intensities are scaled so that the largest is 100.

Most intense lines, 5 to 70 degrees two-theta, low angle first:
2θ 20.5, I = 77; 2θ 24.1, I = 100; 2θ 32.8, I = 65; 2θ 35.9, I = 33; 2θ 47.0, I = 26; 2θ 49.4, I = 26; 2θ 56.2, I = 22; 2θ 62.5, I = 17

Crystal structure
```
MnVP2O8
1.0
4.3339 2.5022 7.0369
-4.3339 2.5022 7.0369
0.0000 -5.0044 7.0369
Mn V P O
3 3 6 24
Cartesian
0.0000 0.0000 0.0000
0.0000 0.0000 3.0116
0.0000 0.0000 13.5966
0.0000 0.0000 6.0873
0.0000 0.0000 10.5534
0.0000 0.0000 16.6824
-2.5167 -0.0257 8.3535
-1.7722 -2.5087 11.8617
1.2806 -2.1667 8.3535
-1.2865 2.7891 11.8617
1.2361 2.1924 8.3535
3.0587 -0.2804 11.8617
-2.6712 -2.5437 10.5857
-0.6359 -1.3549 4.7070
-3.3756 1.2224 8.5277
-1.6548 -0.0283 7.0606
-2.5395 -2.4593 13.1472
-0.8554 1.2282 4.7070
0.6292 -3.5345 8.5277
-1.6222 -0.1294 9.6038
0.8519 -1.4189 7.0606
-0.8195 -1.2613 11.8725
1.4914 0.1267 4.7070
0.9232 -1.3401 9.6038
0.8029 1.4472 7.0606
-1.4943 0.1925 15.2846
-0.6826 1.3403 11.8725
0.6990 1.4696 9.6038
-0.8673 3.5852 10.5857
0.5805 -1.3904 15.2846
1.5020 -0.0791 11.8725
-0.8601 3.4289 13.1472
3.5385 -1.0415 10.5857
2.7464 2.3121 8.5277
0.9139 1.1979 15.2846
3.3995 -0.9696 13.1472
```


The following is a computed X-ray powder pattern of Mn3VP6O24. It was derived from a GGA+U-relaxed structure, using copper Kα.
Intensities are scaled so that the largest is 100.

Most intense lines, 5 to 70 degrees two-theta, low angle first:
2θ 14.6, I = 43; 2θ 20.5, I = 59; 2θ 21.0, I = 29; 2θ 24.4, I = 100; 2θ 29.5, I = 51; 2θ 32.7, I = 47; 2θ 36.8, I = 13; 2θ 54.0, I = 13

Crystal structure
```
Mn3VP6O24
1.0
4.2256 2.4397 7.1795
-4.2256 2.4397 7.1795
0.0000 -4.8794 7.1795
Mn V P O
3 1 6 24
Cartesian
0.0000 0.0000 0.0000
0.0000 0.0000 4.5745
0.0000 0.0000 10.7638
0.0000 0.0000 15.4163
-3.0038 0.3892 9.4730
-1.2061 -2.0879 13.0407
1.1649 -2.7959 9.4730
-1.2051 2.0884 13.0407
1.8389 2.4068 9.4730
2.4112 -0.0005 13.0407
-0.9450 -1.1740 5.7775
-3.2158 1.2131 8.1941
-3.6810 0.9386 10.7349
-2.7343 -2.2309 13.1554
0.5573 -3.3915 8.1941
-1.4910 0.2162 9.5760
-0.5442 1.4054 5.7775
-1.0100 -1.2418 11.7737
1.0277 -3.6571 10.7349
0.5583 -1.3993 9.5760
1.4892 -0.2314 5.7775
-0.5870 -1.4246 14.2970
-1.5126 -0.2105 16.4633
-0.5704 1.4956 11.7738
0.9327 1.1831 9.5760
-0.9403 1.2207 14.2970
1.5804 -0.2538 11.7738
-0.5649 3.4835 13.1554
0.9386 -1.2047 16.4634
2.6584 2.1784 8.1941
1.5273 0.2040 14.2970
3.2992 -1.2525 13.1554
0.5740 1.4152 16.4634
2.6533 2.7185 10.7349
```


The following is a computed X-ray powder pattern of MnV3P6O24. It was derived from a GGA+U-relaxed structure, using copper Kα.
Intensities are scaled so that the largest is 100.

Most intense lines, 5 to 70 degrees two-theta, low angle first:
2θ 14.6, I = 42; 2θ 20.4, I = 55; 2θ 20.9, I = 25; 2θ 24.3, I = 100; 2θ 29.4, I = 47; 2θ 32.4, I = 16; 2θ 32.6, I = 27; 2θ 53.8, I = 17

Crystal structure
```
MnV3P6O24
1.0
4.2535 2.4558 7.1917
-4.2535 2.4558 7.1917
0.0000 -4.9116 7.1917
Mn V P O
1 3 6 24
Cartesian
0.0000 0.0000 0.0000
0.0000 0.0000 4.6843
0.0000 0.0000 10.7186
0.0000 0.0000 15.4182
-1.2012 -2.8463 9.4849
-2.4228 -0.0299 13.0910
-1.8643 2.4634 9.4849
1.2373 -2.0833 13.0910
3.0656 0.3828 9.4849
1.1855 2.1131 13.0910
3.6726 1.0343 10.7406
-1.5196 -0.2133 5.7184
-0.5325 -3.3997 8.2182
-0.9406 -3.6977 10.7406
-3.3073 -1.2702 13.1774
-2.6780 2.1610 8.2182
-0.5813 -1.4277 9.6693
0.9445 -1.2094 5.7185
-1.5434 -0.1932 11.8321
-2.7320 2.6635 10.7406
-0.9457 1.2173 9.6693
0.5751 1.4227 5.7185
-1.5871 0.2361 14.3439
-0.9707 -1.2147 16.5540
0.9390 -1.2401 11.8321
0.5891 -1.4926 14.3439
1.5270 0.2104 9.6693
0.6044 1.4332 11.8321
2.7537 -2.2291 13.1774
-0.5666 1.4480 16.5540
3.2105 1.2387 8.2182
0.9980 1.2565 14.3439
0.5536 3.4993 13.1774
1.5373 -0.2333 16.5540
```